# 1
The following is a theoretical X-ray diffraction stick pattern of Na4Pa3NiSe8. It was derived from DFT lattice parameters and positions (PBE), using λ = 1.5418 Å (Cu Kα).

Structure:
Unit cell a=8.106 b=8.106 c=8.529 alpha=118.66 beta=118.66 gamma=59.35
Fractional positions:
Na  0.000  0.000  0.000
Na  0.000  0.500  0.000
Na  0.500  0.000  0.000
Na  0.500  0.500  0.000
Pa  0.000  0.000  0.500
Pa  0.000  0.500  0.500
Pa  0.500  0.000  0.500
Ni  0.500  0.500  0.500
Se  0.246  0.246  0.741
Se  0.258  0.731  0.722
Se  0.259  0.259  0.270
Se  0.269  0.742  0.278
Se  0.731  0.258  0.722
Se  0.741  0.741  0.730
Se  0.742  0.269  0.278
Se  0.754  0.754  0.259

Top 6 peaks for 2θ from 10° to 90°, by intensity:
- 30.62 deg, I 100.0
- 12.45 deg, I 99.6
- 30.44 deg, I 51.5
- 42.70 deg, I 38.8
- 44.72 deg, I 35.7
- 25.89 deg, I 25.9

---

# 2
The following is a theoretical X-ray diffraction stick pattern of NaPaNiSe4. It was derived from DFT lattice parameters and positions (PBE), using λ = 1.5418 Å (Cu Kα).

Structure:
Unit cell a=6.938 b=5.769 c=8.634 alpha=90.00 beta=106.83 gamma=90.00
Fractional positions:
Na  0.229  0.250  0.443
Na  0.771  0.750  0.557
Pa  0.231  0.250  0.940
Pa  0.769  0.750  0.060
Ni  0.247  0.750  0.171
Ni  0.753  0.250  0.829
Se  0.058  0.750  0.356
Se  0.074  0.750  0.898
Se  0.483  0.507  0.776
Se  0.483  0.993  0.776
Se  0.517  0.007  0.224
Se  0.517  0.493  0.224
Se  0.926  0.250  0.102
Se  0.942  0.250  0.644

Top 6 peaks for 2θ from 10° to 90°, by intensity:
- 10.71 deg, I 100.0
- 29.22 deg, I 28.2
- 32.58 deg, I 25.1
- 33.88 deg, I 23.1
- 28.56 deg, I 20.2
- 21.18 deg, I 19.9

---

# 3
The following is a theoretical X-ray diffraction stick pattern of NaPmNiSb. It was derived from DFT lattice parameters and positions (PBE), using λ = 1.5418 Å (Cu Kα).

Structure:
Unit cell a=4.891 b=4.891 c=4.891 alpha=60.00 beta=60.00 gamma=60.00
Fractional positions:
Na  0.000  0.000  0.000
Pm  0.250  0.250  0.250
Ni  0.500  0.500  0.500
Sb  0.750  0.750  0.750

Top 6 peaks for 2θ from 10° to 90°, by intensity:
- 36.75 deg, I 100.0
- 66.19 deg, I 34.2
- 25.76 deg, I 31.2
- 52.96 deg, I 17.1
- 89.65 deg, I 15.3
- 59.80 deg, I 12.4